1.
This entry pairs a crystal structure of Co5Si2Ni with its simulated powder X-ray diffraction pattern. Radiation: λ = 1.5418 Å (Cu Kα). Structure: a crystal structure in Alexandria, relaxed with GGA-PBE.

Top 12 peaks for 5° ≤ 2θ ≤ 70°, sorted by position:
| 2theta | I_rel |
| --- | --- |
| 12.4 | 169 |
| 29.3 | 62 |
| 32.5 | 51 |
| 36.6 | 162 |
| 37.7 | 41 |
| 41.4 | 68 |
| 46.7 | 1000 |
| 48.5 | 32 |
| 52.3 | 32 |
| 60.7 | 33 |
| 61.5 | 54 |
| 68.1 | 122 |

Structure:
```
16
Lattice="3.8936 0.0000 0.0000 -1.9468 3.3720 0.0000 0.0000 0.0000 14.3063" Properties=species:S:1:pos:R:3 pbc="T T T"
Co 0.0000 0.0000 2.3539
Co 0.0000 0.0000 4.7992
Co 0.0000 0.0000 9.5071
Co 0.0000 0.0000 11.9524
Co 0.0000 2.2480 0.8896
Co 0.0000 2.2480 3.5766
Co 0.0000 2.2480 6.2636
Co 1.9468 1.1240 8.0427
Co 1.9468 1.1240 10.7297
Co 1.9468 1.1240 13.4167
Si 0.0000 2.2480 8.4877
Si 0.0000 2.2480 12.9717
Si 1.9468 1.1240 1.3346
Si 1.9468 1.1240 5.8186
Ni 0.0000 2.2480 10.7297
Ni 1.9468 1.1240 3.5766
```

***

2.
This entry pairs a crystal structure of BaSr5Ca5 with its simulated powder X-ray diffraction pattern. Radiation: λ = 1.5418 Å (Cu Kα). Structure: a crystal structure in Alexandria, relaxed with GGA-PBE.

Top 12 peaks for 5° ≤ 2θ ≤ 70°, sorted by position:
| 2theta | I_rel |
| --- | --- |
| 19.8 | 128 |
| 24.9 | 1000 |
| 25.2 | 919 |
| 26.1 | 247 |
| 32.2 | 163 |
| 32.5 | 229 |
| 35.7 | 194 |
| 44.2 | 412 |
| 44.4 | 196 |
| 48.6 | 136 |
| 51.8 | 198 |
| 58.3 | 182 |

Structure:
```
11
Lattice="7.0618 0.0000 0.0000 -3.5309 6.1157 0.0000 0.0000 0.0000 13.2481" Properties=species:S:1:pos:R:3 pbc="T T T"
Ba 0.0000 0.0000 0.0000
Sr 0.0000 0.0000 4.3783
Sr 0.0000 0.0000 8.8698
Sr 0.0000 4.0771 2.4862
Sr 0.0000 4.0771 10.7619
Sr 3.5309 2.0386 0.0000
Ca -1.7467 3.0687 6.6241
Ca 1.7467 3.0687 6.6241
Ca 0.0000 6.0941 6.6241
Ca 3.5309 2.0386 3.5297
Ca 3.5309 2.0386 9.7184
```

***

3.
This entry pairs a crystal structure of Ce2PrGe2Au2 with its simulated powder X-ray diffraction pattern. Radiation: λ = 1.5418 Å (Cu Kα). Structure: a crystal structure in Alexandria, relaxed with GGA-PBE.

Top 12 peaks for 5° ≤ 2θ ≤ 70°, sorted by position:
| 2theta | I_rel |
| --- | --- |
| 26.3 | 191 |
| 28.1 | 492 |
| 32.2 | 968 |
| 34.6 | 341 |
| 40.4 | 1000 |
| 42.6 | 166 |
| 48.9 | 159 |
| 49.9 | 104 |
| 52.6 | 244 |
| 57.1 | 170 |
| 65.2 | 339 |
| 68.4 | 222 |

Structure:
```
7
Lattice="2.2319 1.2886 9.3206 -2.2319 1.2886 9.3206 0.0000 -2.5771 9.3206" Properties=species:S:1:pos:R:3 pbc="T T T"
Ce 0.0000 0.0000 3.9682
Ce 0.0000 0.0000 23.9935
Pr 0.0000 0.0000 0.0000
Ge 0.0000 0.0000 7.2319
Ge 0.0000 0.0000 20.7299
Au 0.0000 0.0000 11.3674
Au 0.0000 0.0000 16.5943
```

***

4.
This entry pairs a crystal structure of ZrAl4Pd5 with its simulated powder X-ray diffraction pattern. Radiation: λ = 1.5418 Å (Cu Kα). Structure: a crystal structure in Alexandria, relaxed with GGA-PBE.

Top 12 peaks for 5° ≤ 2θ ≤ 70°, sorted by position:
| 2theta | I_rel |
| --- | --- |
| 27.9 | 112 |
| 28.8 | 347 |
| 31.0 | 62 |
| 33.5 | 74 |
| 33.6 | 90 |
| 36.7 | 125 |
| 40.5 | 1000 |
| 41.2 | 623 |
| 44.9 | 104 |
| 50.5 | 87 |
| 54.2 | 90 |
| 59.7 | 204 |

Structure:
```
10
Lattice="3.0960 0.0000 0.0000 0.0000 3.0960 0.0000 0.0000 0.0000 15.9958" Properties=species:S:1:pos:R:3 pbc="T T T"
Zr 0.0000 0.0000 0.0000
Al 0.0000 0.0000 3.4547
Al 0.0000 0.0000 6.4944
Al 0.0000 0.0000 9.5014
Al 0.0000 0.0000 12.5411
Pd 1.5480 1.5480 2.0157
Pd 1.5480 1.5480 5.0024
Pd 1.5480 1.5480 7.9979
Pd 1.5480 1.5480 10.9934
Pd 1.5480 1.5480 13.9801
```

***

5.
This entry pairs a crystal structure of MgPb with its simulated powder X-ray diffraction pattern. Radiation: λ = 1.5418 Å (Cu Kα). Structure: a crystal structure in Alexandria, relaxed with GGA-PBE.

Top 12 peaks for 5° ≤ 2θ ≤ 70°, sorted by position:
| 2theta | I_rel |
| --- | --- |
| 16.3 | 361 |
| 25.4 | 1000 |
| 25.6 | 394 |
| 29.1 | 549 |
| 30.4 | 489 |
| 33.7 | 559 |
| 40.3 | 347 |
| 41.2 | 210 |
| 42.6 | 398 |
| 44.9 | 177 |
| 49.1 | 214 |
| 51.3 | 239 |

Structure:
```
8
Lattice="0.0000 4.3840 5.8742 4.3072 0.0000 5.8742 4.3072 4.3840 0.0000" Properties=species:S:1:pos:R:3 pbc="T T T"
Mg 3.2304 0.5329 4.4057
Mg 5.3840 2.7249 7.3428
Mg 3.2304 6.0431 4.4057
Mg 5.3840 8.2351 7.3428
Pb 4.8472 3.2880 4.4057
Pb 7.0008 5.4800 7.3428
Pb 1.6136 3.2880 4.4057
Pb 3.7672 5.4800 7.3428
```

***

6.
This entry pairs a crystal structure of Ce2Dy2N3 with its simulated powder X-ray diffraction pattern. Radiation: λ = 1.5418 Å (Cu Kα). Structure: a crystal structure in Alexandria, relaxed with GGA-PBE.

Top 12 peaks for 5° ≤ 2θ ≤ 70°, sorted by position:
| 2theta | I_rel |
| --- | --- |
| 29.4 | 1000 |
| 29.6 | 292 |
| 33.1 | 253 |
| 34.7 | 395 |
| 41.5 | 57 |
| 48.6 | 167 |
| 48.9 | 197 |
| 49.8 | 145 |
| 57.0 | 108 |
| 58.8 | 151 |
| 59.0 | 85 |
| 61.1 | 88 |

Structure:
```
7
Lattice="6.1370 -1.8316 0.0000 6.1370 1.8316 0.0000 -0.8594 0.0000 6.4416" Properties=species:S:1:pos:R:3 pbc="T T T"
Ce 1.4364 0.0000 2.2742
Ce 9.9780 0.0000 4.1674
Dy 4.7151 0.0000 0.8057
Dy 6.6994 0.0000 5.6359
N 0.0000 0.0000 0.0000
N 3.7574 0.0000 2.8143
N 7.6571 0.0000 3.6273
```

***

7.
This entry pairs a crystal structure of HfCr3H6 with its simulated powder X-ray diffraction pattern. Radiation: λ = 1.5418 Å (Cu Kα). Structure: a crystal structure in Alexandria, relaxed with GGA-PBE.

Top 12 peaks for 5° ≤ 2θ ≤ 70°, sorted by position:
| 2theta | I_rel |
| --- | --- |
| 20.1 | 193 |
| 24.2 | 817 |
| 26.9 | 395 |
| 35.9 | 678 |
| 40.8 | 1000 |
| 41.5 | 821 |
| 45.9 | 149 |
| 48.0 | 147 |
| 55.5 | 196 |
| 59.2 | 96 |
| 59.6 | 280 |
| 64.8 | 115 |

Structure:
```
10
Lattice="2.2103 1.2761 4.4090 -2.2103 1.2761 4.4090 0.0000 -2.5522 4.4090" Properties=species:S:1:pos:R:3 pbc="T T T"
Hf 0.0000 0.0000 0.0000
Cr 0.0000 0.0000 2.7725
Cr 0.0000 0.0000 5.6793
Cr 0.0000 0.0000 10.4289
H -0.8953 -0.9028 7.0776
H -1.0573 0.5763 9.0319
H 0.0296 -1.2038 9.0319
H -0.3342 1.2267 7.0776
H 1.2295 -0.3240 7.0776
H 1.0277 0.6275 9.0319
```

***

8.
This entry pairs a crystal structure of Re4PbSe7 with its simulated powder X-ray diffraction pattern. Radiation: λ = 1.5418 Å (Cu Kα). Structure: a crystal structure in Alexandria, relaxed with GGA-PBE.

Top 12 peaks for 5° ≤ 2θ ≤ 70°, sorted by position:
| 2theta | I_rel |
| --- | --- |
| 9.8 | 679 |
| 19.5 | 483 |
| 22.4 | 839 |
| 25.8 | 329 |
| 34.0 | 854 |
| 34.4 | 291 |
| 38.2 | 248 |
| 38.4 | 609 |
| 39.5 | 455 |
| 39.8 | 565 |
| 43.3 | 1000 |
| 53.3 | 345 |

Structure:
```
24
Lattice="18.1025 0.0000 0.0000 0.0000 5.2695 0.0000 0.0000 0.0000 5.2811" Properties=species:S:1:pos:R:3 pbc="T T T"
Re 2.5082 0.9096 0.0000
Re 4.3700 0.6880 3.3050
Re 4.6812 4.5815 0.6645
Re 6.5430 4.3599 2.6405
Re 11.5595 4.3599 2.6405
Re 13.4212 4.5815 0.6645
Re 13.7325 0.6880 3.3050
Re 15.5943 0.9096 0.0000
Pb 0.0000 3.3298 2.8156
Pb 9.0512 1.9397 0.1751
Se 0.0000 1.5794 0.2590
Se 1.8753 0.9030 2.9076
Se 2.3001 3.7505 0.5671
Se 4.4154 3.5397 3.5769
Se 4.6359 1.7298 0.9364
Se 6.7512 1.5190 3.2077
Se 7.1759 4.3664 0.2670
Se 9.0512 3.6901 2.8996
Se 10.9265 4.3664 0.2670
Se 11.3513 1.5190 3.2077
Se 13.4666 1.7298 0.9364
Se 13.6871 3.5397 3.5769
Se 15.8024 3.7505 0.5671
Se 16.2272 0.9030 2.9076
```